(1)
Theoretical powder diffraction line list of MgNb2Ir9 for Cu Kα (λ = 1.5418 Å), from DFT lattice parameters and positions (PBE).
Neutral-atom scattering factors, no anomalous dispersion.

```
MgNb2Ir9
1.0
3.9298 0.0000 0.0000
0.0000 3.9298 0.0000
0.0000 0.0000 11.7136
Mg Nb Ir
1 2 9
direct
0.0000 0.0000 0.0000 Mg
0.0000 0.0000 0.3279 Nb
0.0000 0.0000 0.6721 Nb
0.0000 0.5000 0.1677 Ir
0.0000 0.5000 0.5000 Ir
0.0000 0.5000 0.8323 Ir
0.5000 0.0000 0.1677 Ir
0.5000 0.0000 0.5000 Ir
0.5000 0.0000 0.8323 Ir
0.5000 0.5000 0.0000 Ir
0.5000 0.5000 0.3346 Ir
0.5000 0.5000 0.6654 Ir
```

Top 8 peaks for 5° ≤ 2θ ≤ 70°, by intensity:
d 2.264, I 100
d 1.965, I 33
d 1.385, I 21
d 1.952, I 16
d 1.389, I 11
d 3.930, I 7
d 2.770, I 6
d 3.905, I 3


(2)
Theoretical powder diffraction line list of Ca2SiAu7 for Cu Kα (λ = 1.5418 Å), from DFT lattice parameters and positions (PBE).
Neutral-atom scattering factors, no anomalous dispersion.

```
Ca2SiAu7
1.0
3.9752 0.0000 0.0000
0.0000 3.9752 0.0000
0.0000 0.0000 13.4735
Ca Si Au
2 1 7
direct
0.0000 0.5000 0.2467 Ca
0.5000 0.0000 0.7533 Ca
0.5000 0.5000 0.0000 Si
0.0000 0.0000 0.0000 Au
0.0000 0.0000 0.5000 Au
0.0000 0.5000 0.6542 Au
0.0000 0.5000 0.8552 Au
0.5000 0.0000 0.1448 Au
0.5000 0.0000 0.3458 Au
0.5000 0.5000 0.5000 Au
```

Top 8 peaks for 5° ≤ 2θ ≤ 70°, by intensity:
d 2.594, I 100
d 3.813, I 98
d 2.158, I 93
d 1.988, I 58
d 2.231, I 57
d 1.484, I 32
d 1.488, I 28
d 2.246, I 25


(3)
Theoretical powder diffraction line list of SmMg4Ga4 for Cu Kα (λ = 1.5418 Å), from DFT lattice parameters and positions (PBE).
Neutral-atom scattering factors, no anomalous dispersion.

```
SmMg4Ga4
1.0
6.6011 0.0000 0.0000
0.0000 6.6011 0.0000
0.0000 0.0000 8.9990
Sm Mg Ga
2 8 8
direct
0.2500 0.7500 0.2500 Sm
0.7500 0.2500 0.7500 Sm
0.0089 0.2500 0.1482 Mg
0.2500 0.0089 0.6482 Mg
0.2500 0.4911 0.6482 Mg
0.4911 0.2500 0.1482 Mg
0.5089 0.7500 0.8518 Mg
0.7500 0.5089 0.3518 Mg
0.7500 0.9911 0.3518 Mg
0.9911 0.7500 0.8518 Mg
0.0502 0.2500 0.4514 Ga
0.2500 0.0502 0.9514 Ga
0.2500 0.4498 0.9514 Ga
0.4498 0.2500 0.4514 Ga
0.5502 0.7500 0.5486 Ga
0.7500 0.5502 0.0486 Ga
0.7500 0.9498 0.0486 Ga
0.9498 0.7500 0.5486 Ga
```

Top 8 peaks for 5° ≤ 2θ ≤ 70°, by intensity:
d 2.805, I 100
d 3.239, I 62
d 2.731, I 48
d 3.099, I 41
d 2.072, I 35
d 1.774, I 32
d 2.220, I 29
d 5.323, I 25


(4)
Theoretical powder diffraction line list of CsRb2AgHg for Cu Kα (λ = 1.5418 Å), from DFT lattice parameters and positions (PBE).
Neutral-atom scattering factors, no anomalous dispersion.

```
CsRb2AgHg
1.0
8.6331 0.0000 0.0000
0.0000 5.2832 0.0000
-0.1231 0.0000 11.7966
Cs Rb Ag Hg
2 4 2 2
direct
0.1736 0.2500 0.2487 Cs
0.8264 0.7500 0.7513 Cs
0.2931 0.7500 0.5582 Rb
0.2960 0.7500 0.9382 Rb
0.7040 0.2500 0.0618 Rb
0.7069 0.2500 0.4418 Rb
0.1505 0.2500 0.7471 Ag
0.8495 0.7500 0.2529 Ag
0.4864 0.2500 0.7498 Hg
0.5136 0.7500 0.2502 Hg
```

Top 8 peaks for 5° ≤ 2θ ≤ 70°, by intensity:
d 5.898, I 100
d 3.590, I 85
d 3.571, I 83
d 2.951, I 60
d 4.210, I 56
d 2.642, I 54
d 3.154, I 53
d 1.967, I 45


(5)
Theoretical powder diffraction line list of InPt8Rh2 for Cu Kα (λ = 1.5418 Å), from DFT lattice parameters and positions (PBE).
Neutral-atom scattering factors, no anomalous dispersion.

```
InPt8Rh2
1.0
4.1210 -5.3774 0.0000
4.1210 5.3774 0.0000
0.0000 0.0000 4.1279
In Pt Rh
1 8 2
direct
0.0000 0.0000 0.0000 In
0.0392 0.3094 0.5000 Pt
0.2465 0.7535 0.0000 Pt
0.3094 0.0392 0.5000 Pt
0.3328 0.3328 0.0000 Pt
0.6672 0.6672 0.0000 Pt
0.6906 0.9608 0.5000 Pt
0.7535 0.2465 0.0000 Pt
0.9608 0.6906 0.5000 Pt
0.3818 0.6182 0.5000 Rh
0.6182 0.3818 0.5000 Rh
```

Top 8 peaks for 5° ≤ 2θ ≤ 70°, by intensity:
d 2.253, I 100
d 2.237, I 73
d 2.181, I 38
d 2.064, I 38
d 1.499, I 25
d 2.564, I 23
d 2.916, I 16
d 3.272, I 14


(6)
Theoretical powder diffraction line list of Pr2BN3 for Cu Kα (λ = 1.5418 Å), from DFT lattice parameters and positions (PBE).
Neutral-atom scattering factors, no anomalous dispersion.

```
Pr2BN3
1.0
-1.7492 2.2020 5.5825
1.7492 -2.2020 5.5825
1.7492 2.2020 -5.5825
Pr B N
2 1 3
direct
0.1460 0.1460 0.0000 Pr
0.8540 0.8540 0.0000 Pr
0.5000 0.5000 0.0000 B
0.0000 0.5000 0.5000 N
0.3708 0.3708 0.0000 N
0.6292 0.6292 0.0000 N
```

Top 8 peaks for 5° ≤ 2θ ≤ 70°, by intensity:
d 2.739, I 100
d 4.097, I 74
d 2.843, I 65
d 2.549, I 61
d 1.955, I 60
d 2.791, I 35
d 1.666, I 34
d 2.202, I 31


(7)
Theoretical powder diffraction line list of Tl2In2Sn2Hg for Cu Kα (λ = 1.5418 Å), from DFT lattice parameters and positions (PBE).
Neutral-atom scattering factors, no anomalous dispersion.

```
Tl2In2Sn2Hg
1.0
5.5376 0.0000 0.0000
-0.0785 6.2077 0.0000
-2.6971 -1.5237 5.7908
Tl In Sn Hg
2 2 2 1
direct
0.0715 0.2814 0.1415 Tl
0.9285 0.7186 0.8585 Tl
0.2343 0.8349 0.4686 In
0.7657 0.1651 0.5314 In
0.3642 0.3906 0.7314 Sn
0.6358 0.6094 0.2686 Sn
0.5000 0.0000 0.0000 Hg
```

Top 8 peaks for 5° ≤ 2θ ≤ 70°, by intensity:
d 2.587, I 100
d 2.768, I 61
d 2.914, I 61
d 2.722, I 53
d 2.693, I 51
d 1.993, I 23
d 2.021, I 23
d 1.758, I 15


(8)
Theoretical powder diffraction line list of Er3Ga4Pt2 for Cu Kα (λ = 1.5418 Å), from DFT lattice parameters and positions (PBE).
Neutral-atom scattering factors, no anomalous dispersion.

```
Er3Ga4Pt2
1.0
5.2894 -2.1833 0.0000
5.2894 2.1833 0.0000
-3.3741 0.0000 7.7446
Er Ga Pt
3 4 2
direct
0.0000 0.0000 0.0000 Er
0.3184 0.3184 0.3588 Er
0.6816 0.6816 0.6412 Er
0.0170 0.0170 0.3567 Ga
0.2565 0.2565 0.9170 Ga
0.7435 0.7435 0.0830 Ga
0.9830 0.9830 0.6433 Ga
0.4002 0.4002 0.7319 Pt
0.5998 0.5998 0.2681 Pt
```

Top 8 peaks for 5° ≤ 2θ ≤ 70°, by intensity:
d 2.573, I 100
d 2.222, I 99
d 2.598, I 76
d 2.183, I 56
d 2.633, I 43
d 2.582, I 34
d 1.681, I 32
d 2.743, I 30


(9)
Theoretical powder diffraction line list of Ir3Ru4Rh12 for Cu Kα (λ = 1.5418 Å), from DFT lattice parameters and positions (PBE).
Neutral-atom scattering factors, no anomalous dispersion.

```
Ir3Ru4Rh12
1.0
-4.5939 4.5939 4.5939
4.5939 -4.5939 4.5939
4.5939 4.5939 -4.5939
Ir Ru Rh
3 4 12
direct
0.0000 0.5000 0.5000 Ir
0.5000 0.0000 0.5000 Ir
0.5000 0.5000 0.0000 Ir
0.0000 0.0000 0.5000 Ru
0.0000 0.5000 0.0000 Ru
0.5000 0.0000 0.0000 Ru
0.5000 0.5000 0.5000 Ru
0.0979 0.7390 0.3589 Rh
0.2610 0.3589 0.6200 Rh
0.2610 0.6411 0.9021 Rh
0.3589 0.0979 0.7390 Rh
0.3589 0.6200 0.2610 Rh
0.3800 0.7390 0.6411 Rh
0.6200 0.2610 0.3589 Rh
0.6411 0.3800 0.7390 Rh
0.6411 0.9021 0.2610 Rh
0.7390 0.3589 0.0979 Rh
0.7390 0.6411 0.3800 Rh
0.9021 0.2610 0.6411 Rh
```

Top 8 peaks for 5° ≤ 2θ ≤ 70°, by intensity:
d 6.497, I 100
d 1.875, I 68
d 2.297, I 34
d 2.054, I 31
d 2.456, I 31
d 3.248, I 27
d 1.802, I 16
d 2.166, I 13


(10)
Theoretical powder diffraction line list of NaMnInI4 for Cu Kα (λ = 1.5418 Å), from DFT lattice parameters and positions (PBE).
Neutral-atom scattering factors, no anomalous dispersion.

```
NaMnInI4
1.0
7.7232 0.0000 0.0000
0.0000 8.2986 0.0000
-2.6666 0.0000 8.8359
Na Mn In I
2 2 2 8
direct
0.2317 0.2500 0.0618 Na
0.7683 0.7500 0.9382 Na
0.2387 0.7500 0.8162 Mn
0.7613 0.2500 0.1838 Mn
0.2186 0.2500 0.5563 In
0.7814 0.7500 0.4437 In
0.0030 0.0007 0.7652 I
0.0030 0.4993 0.7652 I
0.4390 0.7500 0.6236 I
0.4532 0.7500 0.1010 I
0.5468 0.2500 0.8990 I
0.5610 0.2500 0.3764 I
0.9970 0.5007 0.2348 I
0.9970 0.9993 0.2348 I
```

Top 8 peaks for 5° ≤ 2θ ≤ 70°, by intensity:
d 3.618, I 100
d 3.020, I 75
d 3.108, I 50
d 3.135, I 48
d 3.383, I 48
d 3.352, I 32
d 2.142, I 31
d 2.307, I 31


(11)
Theoretical powder diffraction line list of Hf6CN for Cu Kα (λ = 1.5418 Å), from DFT lattice parameters and positions (PBE).
Neutral-atom scattering factors, no anomalous dispersion.

```
Hf6CN
1.0
5.6145 0.0000 0.0000
-2.8073 4.8623 0.0000
0.0000 0.0000 10.4752
Hf C N
12 2 2
direct
0.0122 0.3331 0.1238 Hf
0.0122 0.6791 0.3762 Hf
0.3209 0.3331 0.3762 Hf
0.3209 0.9878 0.1238 Hf
0.3331 0.0122 0.6238 Hf
0.3331 0.3209 0.8762 Hf
0.6669 0.6791 0.1238 Hf
0.6669 0.9878 0.3762 Hf
0.6791 0.0122 0.8762 Hf
0.6791 0.6669 0.6238 Hf
0.9878 0.3209 0.6238 Hf
0.9878 0.6669 0.8762 Hf
0.3333 0.6667 0.2500 C
0.6667 0.3333 0.7500 C
0.0000 0.0000 0.0000 N
0.0000 0.0000 0.5000 N
```

Top 8 peaks for 5° ≤ 2θ ≤ 70°, by intensity:
d 2.474, I 100
d 2.619, I 25
d 2.807, I 21
d 1.483, I 21
d 1.378, I 20
d 1.621, I 19
d 1.915, I 17
d 1.356, I 15


(12)
Theoretical powder diffraction line list of DyThSbSe for Cu Kα (λ = 1.5418 Å), from DFT lattice parameters and positions (PBE).
Neutral-atom scattering factors, no anomalous dispersion.

```
DyThSbSe
1.0
4.2743 0.0000 0.0000
0.0000 4.2743 0.0000
0.0000 0.0000 6.1898
Dy Th Sb Se
1 1 1 1
direct
0.0000 0.0000 0.0000 Dy
0.5000 0.5000 0.4988 Th
0.5000 0.5000 0.9988 Sb
0.0000 0.0000 0.4995 Se
```

Top 8 peaks for 5° ≤ 2θ ≤ 70°, by intensity:
d 3.022, I 100
d 2.162, I 79
d 3.095, I 53
d 1.759, I 42
d 2.137, I 38
d 3.517, I 28
d 1.377, I 19
d 1.358, I 18